This entry pairs a crystal structure of MgIr3Rh6 with its simulated powder XRD pattern. Radiation: Cu Kα X-rays. Structure: the GGA-PBE geometry in Alexandria.
No peak broadening, texture or thermal motion is included.

Largest 10 diffraction maxima, by intensity, 10° ≤ 2θ ≤ 80°:
two_theta, intensity, (hkl)
41.32, 100.0, 3 1 2
19.45, 43.1, 0 2 0
45.19, 42.7, 0 2 4
50.43, 25.1, 3 3 2
74.06, 24.7, 3 1 6
27.95, 23.9, 0 2 2
17.94, 22.4, 1 1 1
47.23, 18.0, 2 4 1
36.34, 17.6, 2 2 2
40.38, 17.3, 0 0 4

Structure:
```
data_MgIr3Rh6
_symmetry_space_group_name_H-M 'C m c 21'
_symmetry_Int_Tables_number 36
_cell_length_a 7.815
_cell_length_b 9.128
_cell_length_c 8.935
_cell_angle_alpha 90.00
_cell_angle_beta 90.00
_cell_angle_gamma 90.00
loop_
_symmetry_equiv_pos_as_xyz
'x,y,z'
'-x,-y,z+1/2'
'-x,y,z'
'x,-y,z+1/2'
'x+1/2,y+1/2,z'
'-x+1/2,-y+1/2,z+1/2'
'-x+1/2,y+1/2,z'
'x+1/2,-y+1/2,z+1/2'
loop_
_atom_site_label
_atom_site_type_symbol
_atom_site_fract_x
_atom_site_fract_y
_atom_site_fract_z
Mg1 Mg 0.000 0.235 0.000
Ir1 Ir 0.000 0.055 0.447
Ir2 Ir 0.175 0.472 0.460
Rh1 Rh 0.000 0.286 0.640
Rh2 Rh 0.000 0.437 0.214
Rh3 Rh 0.168 0.042 0.700
Rh4 Rh 0.220 0.220 0.308
```